Record 1
Structure and simulated powder XRD pattern of Er6Al7Cu16 (a DFT-relaxed cell (PBE, OQMD); a wavelength of 1.5418 Å).
Kinematic intensities with the Lorentz-polarization factor, no thermal factor.

Peak list (10 most intense, 5° ≤ 2θ ≤ 70°, in order of rising 2θ)
- 2θ = 25.22°, I 640, hkl 2 2 2
- 2θ = 31.89°, I 159, hkl 3 3 1
- 2θ = 35.97°, I 303, hkl 4 2 2
- 2θ = 38.24°, I 1000, hkl 3 3 3
- 2θ = 41.78°, I 956, hkl 4 4 0
- 2θ = 44.44°, I 196, hkl 6 0 0
- 2θ = 53.50°, I 162, hkl 5 5 1
- 2θ = 57.91°, I 152, hkl 7 3 1
- 2θ = 62.12°, I 161, hkl 7 3 3
- 2θ = 64.66°, I 227, hkl 8 2 2

```
data_Er6Al7Cu16
_symmetry_space_group_name_H-M 'F m -3 m'
_symmetry_Int_Tables_number 225
_symmetry_space_group_name_Hall '-F 4 2 3'
_cell_length_a 12.2310
_cell_length_b 12.2310
_cell_length_c 12.2310
_cell_angle_alpha 90.00
_cell_angle_beta 90.00
_cell_angle_gamma 90.00
loop_
_atom_site_label
_atom_site_fract_x
_atom_site_fract_y
_atom_site_fract_z
_atom_site_occupancy
Er1 0.0000 0.0000 0.2115 1
Al1 0.0000 0.0000 0.5000 1
Al2 0.0000 0.2500 0.2500 1
Cu1 0.1215 0.1215 0.3785 1
Cu2 0.1724 0.1724 0.1724 1
```

***

Record 2
Structure and simulated powder XRD pattern of Gd2ErAl3CuNi2 (a DFT-relaxed cell (PBE, OQMD); a wavelength of 1.5418 Å).
Kinematic intensities with the Lorentz-polarization factor, no thermal factor.

Peak list (10 most intense, 5° ≤ 2θ ≤ 70°, in order of rising 2θ)
- 2θ = 22.70°, I 277, hkl 1 0 0
- 2θ = 25.37°, I 338, hkl 0 3 1
- 2θ = 29.38°, I 364, hkl 0 2 2
- 2θ = 34.30°, I 927, hkl 1 3 1
- 2θ = 37.44°, I 1000, hkl 1 4 0
- 2θ = 39.20°, I 308, hkl 0 1 3
- 2θ = 44.71°, I 172, hkl 0 6 0
- 2θ = 45.77°, I 176, hkl 1 1 3
- 2θ = 46.36°, I 221, hkl 2 0 0
- 2θ = 59.67°, I 236, hkl 1 5 3

```
data_Gd2ErAl3CuNi2
_symmetry_space_group_name_H-M 'A m m 2'
_symmetry_Int_Tables_number 38
_cell_length_a 3.9174
_cell_length_b 12.1758
_cell_length_c 7.0134
_cell_angle_alpha 90.00
_cell_angle_beta 90.00
_cell_angle_gamma 90.00
loop_
_symmetry_equiv_pos_as_xyz
'x,y,z'
'-x,-y,z'
'-x,y,z'
'x,-y,z'
'x,y+1/2,z+1/2'
'-x,-y+1/2,z+1/2'
'-x,y+1/2,z+1/2'
'x,-y+1/2,z+1/2'
loop_
_atom_site_label
_atom_site_fract_x
_atom_site_fract_y
_atom_site_fract_z
_atom_site_occupancy
Gd1 0.0000 0.2091 0.0000 1
Er1 0.0000 0.0000 0.3727 1
Al1 0.5000 0.0000 0.0325 1
Al2 0.5000 0.1193 0.6684 1
Cu1 0.0000 0.0000 0.7883 1
Ni1 0.5000 0.1644 0.2911 1
```

***

Record 3
Structure and simulated powder XRD pattern of HoEr2Al3Cu2Pd (a DFT-relaxed cell (PBE, OQMD); a wavelength of 1.5418 Å).
Kinematic intensities with the Lorentz-polarization factor, no thermal factor.

Peak list (10 most intense, 5° ≤ 2θ ≤ 70°, in order of rising 2θ)
- 2θ = 22.19°, I 303, hkl 1 0 0
- 2θ = 25.27°, I 291, hkl 0 0 2
- 2θ = 29.26°, I 385, hkl 0 4 0
- 2θ = 33.87°, I 737, hkl 1 0 2
- 2θ = 37.02°, I 1000, hkl 1 2 2
- 2θ = 39.04°, I 243, hkl 0 5 1
- 2θ = 44.52°, I 179, hkl 0 3 3
- 2θ = 45.31°, I 408, hkl 2 0 0
- 2θ = 54.17°, I 202, hkl 0 2 4
- 2θ = 59.25°, I 289, hkl 1 2 4

```
data_HoEr2Al3Cu2Pd
_symmetry_space_group_name_H-M 'A m m 2'
_symmetry_Int_Tables_number 38
_cell_length_a 4.0069
_cell_length_b 12.2070
_cell_length_c 7.0507
_cell_angle_alpha 90.00
_cell_angle_beta 90.00
_cell_angle_gamma 90.00
loop_
_symmetry_equiv_pos_as_xyz
'x,y,z'
'-x,-y,z'
'-x,y,z'
'x,-y,z'
'x,y+1/2,z+1/2'
'-x,-y+1/2,z+1/2'
'-x,y+1/2,z+1/2'
'x,-y+1/2,z+1/2'
loop_
_atom_site_label
_atom_site_fract_x
_atom_site_fract_y
_atom_site_fract_z
_atom_site_occupancy
Ho1 0.0000 0.0000 0.0000 1
Er1 0.0000 0.2091 0.3726 1
Al1 0.5000 0.0000 0.3402 1
Al2 0.5000 0.1209 0.7020 1
Cu1 0.5000 0.1672 0.0817 1
Pd1 0.0000 0.0000 0.5808 1
```